Record 1
Calculated powder diffractogram
Compound: Na2LiAuF6
Radiation: CuKα
Structure: a structure optimized by DFT (GGA-PBE)
No peak broadening, texture or thermal motion is included.

Main lines, sorted by position (10° ≤ 2θ ≤ 90°):
2θ/deg	d (Å)	intensity
18.68	4.749	100
21.61	4.113	60
30.74	2.908	60
36.22	2.480	66
44.04	2.056	33
48.23	1.887	32
49.56	1.839	26
54.66	1.679	25
58.29	1.583	21
67.35	1.390	21

Cell and atoms:
Cell: 5.816 5.816 5.816 Å, 60.00 60.00 60.00°
Atoms (fractional coordinates):
Na: 0.250 0.250 0.250
Na: 0.750 0.750 0.750
Li: 0.000 0.000 0.000
Au: 0.500 0.500 0.500
F: 0.242 0.242 0.758
F: 0.242 0.758 0.242
F: 0.242 0.758 0.758
F: 0.758 0.242 0.242
F: 0.758 0.242 0.758
F: 0.758 0.758 0.242


Record 2
Calculated powder diffractogram
Compound: Na2PdAuF6
Radiation: CuKα
Structure: a structure optimized by DFT (GGA-PBE)
No peak broadening, texture or thermal motion is included.

Main lines, sorted by position (10° ≤ 2θ ≤ 90°):
2θ/deg	d (Å)	intensity
17.58	5.044	12
20.33	4.368	100
28.91	3.089	95
41.34	2.184	40
46.49	1.953	45
51.23	1.783	40
59.90	1.544	25
63.94	1.456	21
67.85	1.381	18
82.66	1.167	21

Cell and atoms:
Cell: 6.177 6.177 6.177 Å, 60.00 60.00 60.00°
Atoms (fractional coordinates):
Na: 0.250 0.250 0.250
Na: 0.750 0.750 0.750
Pd: 0.000 0.000 0.000
Au: 0.500 0.500 0.500
F: 0.240 0.240 0.760
F: 0.240 0.760 0.240
F: 0.240 0.760 0.760
F: 0.760 0.240 0.240
F: 0.760 0.240 0.760
F: 0.760 0.760 0.240